# Na4Ac3CoO8
Theoretical X-ray powder pattern, Cu Kα, 1.54184 Å. Input: a cell relaxed with PBE+U.

Cell and atoms:
Cell lengths 13.0487, 7.0672, 6.8130 Å; angles 90.00, 119.35, 90.00 degrees
Space group C2/m (No. 12)
Inequivalent atoms, fractional coordinates:
Na 0.0000 0.0000 0.0000 x2
Na 0.0000 0.5000 0.0000 x2
Na 0.2500 0.2500 0.5000 x4
Ac 0.0000 0.0000 0.5000 x2
Ac 0.2500 0.2500 0.0000 x4
Co 0.0000 0.5000 0.5000 x2
O 0.0271 0.3030 0.7231 x8
O 0.1980 0.0000 0.1870 x4
O 0.2200 0.0000 0.7185 x4

Principal peaks in the range 2θ from 10° to 90°, low angle first:
- 5.750 Å, I 100, (2 0 -1)
- 3.365 Å, I 26, (2 0 1)
- 3.037 Å, I 37, (0 2 1)
- 3.002 Å, I 53, (2 2 0)
- 2.969 Å, I 23, (0 0 2)
- 2.875 Å, I 23, (4 0 -2)
- 2.843 Å, I 35, (4 0 0)
- 2.452 Å, I 49, (2 2 -2)
- 2.397 Å, I 19, (4 2 -1)
- 1.881 Å, I 21, (2 2 2)